Diffraction record for Ca2W3O8. The PXRD pattern is computed, not measured: it uses DFT lattice parameters and positions (GGA+U) and λ = 1.5418 Å (Cu Kα).
Intensities are scaled so that the largest is 100.

Cell and atoms:
Unit cell a=6.5296 b=6.5296 c=10.2770 alpha=90.00 beta=90.00 gamma=120.00
Space group P6_3mc (No. 186)
Inequivalent atoms, fractional coordinates:
Ca1 0.3333 0.6667 0.0000 (multiplicity 2)
Ca2 0.3333 0.6667 0.3834 (multiplicity 2)
W1 0.1643 0.3287 0.7146 (multiplicity 6)
O1 0.0000 0.0000 0.3160 (multiplicity 2)
O2 0.0508 0.5254 0.8243 (multiplicity 6)
O3 0.1601 0.3202 0.1253 (multiplicity 6)
O4 0.3333 0.6667 0.6069 (multiplicity 2)

Largest 6 diffraction maxima, low angle first, 2θ from 10° to 90°:
| two_theta | Rel. int. | h k l |
| --- | --- | --- |
| 17.26 | 100 | 0 0 2 |
| 17.90 | 36 | 1 0 1 |
| 32.49 | 28 | 1 1 2 |
| 32.85 | 91 | 2 0 1 |
| 41.41 | 45 | 2 0 3 |
| 55.25 | 34 | 2 0 5 |